1.
Theoretical XRD peak list
Compound: Na2MgH6Pt
Radiation: Cu Kα X-rays
Structure: a DFT-relaxed cell (PBE, Alexandria)

```
10
Lattice="5.118 0.000 0.000 -2.559 4.432 0.000 0.000 0.000 5.355" Properties=species:S:1:pos:R:3 pbc="T T T"
Na 0.000 2.955 1.632
Na 2.559 1.477 3.723
Mg 0.000 0.000 0.000
H 0.000 1.371 3.726
H -1.372 3.747 3.726
H 1.187 0.686 1.629
H 1.372 3.747 3.726
H 3.931 0.686 1.629
H 2.559 3.061 1.629
Pt 0.000 0.000 2.678
```

Top 10 peaks for 15 to 90 degrees two-theta, sorted by position:
2θ (°), d (Å), Rel. int.
16.55, 5.355, 46
20.03, 4.432, 100
26.10, 3.415, 72
35.07, 2.559, 45
39.01, 2.309, 32
39.31, 2.292, 53
44.23, 2.048, 18
53.69, 1.707, 22
57.65, 1.599, 17
65.75, 1.420, 23



2.
Theoretical XRD peak list
Compound: Rb2NaMg2H7
Radiation: Cu Kα X-rays
Structure: a DFT-relaxed cell (PBE, Alexandria)

```
12
Lattice="-2.011 2.011 10.898 2.011 -2.011 10.898 2.011 2.011 -10.898" Properties=species:S:1:pos:R:3 pbc="T T T"
Rb 0.000 0.000 3.952
Rb 0.000 0.000 17.844
Na 0.000 0.000 0.000
Mg 0.000 0.000 9.010
Mg 0.000 0.000 12.786
H 2.011 0.000 1.857
H 0.000 0.000 7.013
H 2.011 0.000 9.042
H 0.000 0.000 10.898
H 0.000 2.011 1.857
H 0.000 0.000 14.784
H 0.000 2.011 9.042
```

Top 10 peaks for 15 to 90 degrees two-theta, sorted by position:
2θ (°), d (Å), Rel. int.
24.50, 3.633, 13
25.31, 3.519, 66
30.23, 2.956, 100
31.45, 2.845, 62
32.87, 2.725, 12
40.27, 2.240, 17
45.07, 2.011, 24
46.13, 1.968, 17
52.39, 1.746, 18
55.23, 1.663, 35



Q: Number 2 is which compound?
A: Rb2NaMg2H7



Q: Number 1 is which compound?
A: Na2MgH6Pt



Copy entry 1 word for word.
Theoretical XRD peak list
Compound: Na2MgH6Pt
Radiation: Cu Kα X-rays
Structure: a DFT-relaxed cell (PBE, Alexandria)

```
10
Lattice="5.118 0.000 0.000 -2.559 4.432 0.000 0.000 0.000 5.355" Properties=species:S:1:pos:R:3 pbc="T T T"
Na 0.000 2.955 1.632
Na 2.559 1.477 3.723
Mg 0.000 0.000 0.000
H 0.000 1.371 3.726
H -1.372 3.747 3.726
H 1.187 0.686 1.629
H 1.372 3.747 3.726
H 3.931 0.686 1.629
H 2.559 3.061 1.629
Pt 0.000 0.000 2.678
```

Top 10 peaks for 15 to 90 degrees two-theta, sorted by position:
2θ (°), d (Å), Rel. int.
16.55, 5.355, 46
20.03, 4.432, 100
26.10, 3.415, 72
35.07, 2.559, 45
39.01, 2.309, 32
39.31, 2.292, 53
44.23, 2.048, 18
53.69, 1.707, 22
57.65, 1.599, 17
65.75, 1.420, 23